Calculated powder diffraction line list of Mn2OF3 for copper Kα, from a structure optimized by DFT (PBE+U).

Atomic structure:
Cell lengths 9.493, 7.069, 6.749 Å; angles 90.00, 90.00, 90.00 degrees
Space group Amm2 (No. 38)
Unique sites:
Mn1 0.000 0.000 0.000 x2
Mn2 0.167 0.000 0.530 x4
Mn3 0.333 0.000 0.993 x4
Mn4 0.500 0.000 0.459 x2
O1 0.166 0.000 0.826 x4
O2 0.500 0.000 0.161 x2
F1 0.000 0.195 0.518 x4
F2 0.160 0.000 0.209 x4
F3 0.332 0.203 0.493 x8
F4 0.500 0.000 0.776 x2

Principal peaks in the range 10 to 90 degrees two-theta, by angle:
2θ 25.20, 3.535 Å, I 100, (0 2 0); 2θ 26.41, 3.375 Å, I 93, (0 0 2); 2θ 33.76, 2.655 Å, I 99, (3 1 1); 2θ 38.17, 2.358 Å, I 21, (3 2 0); 2θ 39.02, 2.308 Å, I 21, (3 0 2); 2θ 50.12, 1.820 Å, I 66, (3 3 1); 2θ 51.49, 1.775 Å, I 49, (3 1 3); 2θ 51.72, 1.767 Å, I 22, (0 4 0); 2θ 58.32, 1.582 Å, I 19, (6 0 0); 2θ 64.38, 1.447 Å, I 40, (3 3 3)


Calculated powder diffraction line list of Pr2Mo15O28 for copper Kα, from a structure optimized by DFT (PBE+U).

Atomic structure:
Cell lengths 8.232, 8.289, 9.417 Å; angles 89.51, 89.09, 80.29 degrees
Space group P1 (No. 1)
Unique sites:
Pr1 0.000 0.000 0.000 x1
Pr2 0.480 0.525 0.494 x1
Mo1 0.049 0.886 0.642 x1
Mo2 0.139 0.290 0.356 x1
Mo3 0.163 0.503 0.861 x1
Mo4 0.257 0.914 0.360 x1
Mo5 0.316 0.139 0.644 x1
Mo6 0.372 0.558 0.139 x1
Mo7 0.413 0.788 0.874 x1
Mo8 0.498 0.171 0.130 x1
Mo9 0.556 0.371 0.851 x1
Mo10 0.637 0.793 0.146 x1
Mo11 0.776 0.421 0.129 x1
Mo12 0.785 0.653 0.849 x1
Mo13 0.851 0.061 0.372 x1
Mo14 0.914 0.271 0.629 x1
Mo15 0.998 0.666 0.371 x1
O1 0.031 0.891 0.247 x1
O2 0.134 0.297 0.732 x1
O3 0.168 0.498 0.248 x1
O4 0.203 0.722 0.494 x1
O5 0.220 0.713 0.985 x1
O6 0.237 0.961 0.781 x1
O7 0.287 0.125 0.241 x1
O8 0.326 0.316 0.492 x1
O9 0.357 0.360 0.993 x1
O10 0.385 0.552 0.752 x1
O11 0.404 0.981 0.519 x1
O12 0.444 0.726 0.286 x1
O13 0.464 0.947 0.015 x1
O14 0.502 0.194 0.743 x1
O15 0.555 0.387 0.243 x1
O16 0.598 0.762 0.738 x1
O17 0.660 0.006 0.253 x1
O18 0.705 0.237 0.005 x1
O19 0.733 0.447 0.721 x1
O20 0.735 0.242 0.493 x1
O21 0.800 0.609 0.250 x1
O22 0.817 0.829 0.986 x1
O23 0.863 0.865 0.494 x1
O24 0.909 0.083 0.760 x1
O25 0.929 0.469 0.968 x1
O26 0.941 0.230 0.229 x1
O27 0.983 0.438 0.482 x1
O28 0.997 0.677 0.747 x1

Principal peaks in the range 10 to 90 degrees two-theta, by angle:
2θ 27.72, 3.218 Å, I 100, (1 -2 1); 2θ 27.90, 3.197 Å, I 58, (-2 1 1); 2θ 29.46, 3.032 Å, I 99, (2 1 2); 2θ 29.98, 2.981 Å, I 55, (2 1 -2); 2θ 30.41, 2.939 Å, I 99, (1 0 3); 2θ 32.32, 2.770 Å, I 79, (-1 2 2); 2θ 32.88, 2.724 Å, I 57, (1 3 0); 2θ 34.34, 2.612 Å, I 71, (3 1 1); 2θ 44.54, 2.034 Å, I 56, (3 1 -3); 2θ 60.00, 1.542 Å, I 55, (5 -1 0)


Calculated powder diffraction line list of Li3Fe4SnO8 for copper Kα, from a structure optimized by DFT (PBE+U).

Atomic structure:
Cell lengths 10.412, 6.167, 6.247 Å; angles 90.00, 125.72, 90.00 degrees
Space group C2/m (No. 12)
Unique sites:
Li1 0.000 0.000 0.000 x2
Li2 0.250 0.250 0.500 x4
Fe1 0.000 0.000 0.500 x2
Fe2 0.000 0.500 0.000 x2
Fe3 0.250 0.250 0.000 x4
Sn1 0.000 0.500 0.500 x2
O1 0.007 0.249 0.275 x8
O2 0.244 0.500 0.763 x4
O3 0.247 0.000 0.747 x4

Principal peaks in the range 10 to 90 degrees two-theta, by angle:
2θ 17.82, 4.978 Å, I 100, (2 0 -1); 2θ 34.04, 2.634 Å, I 30, (0 2 1); 2θ 34.67, 2.588 Å, I 13, (2 0 1); 2θ 35.40, 2.536 Å, I 13, (0 0 2); 2θ 36.07, 2.490 Å, I 37, (4 0 -2); 2θ 41.14, 2.194 Å, I 71, (2 2 -2); 2θ 42.79, 2.113 Å, I 31, (4 0 0); 2θ 46.21, 1.965 Å, I 12, (4 2 -1); 2θ 60.39, 1.533 Å, I 20, (2 2 2); 2θ 61.33, 1.512 Å, I 19, (6 2 -2)


Calculated powder diffraction line list of BaSrNdMnO6 for copper Kα, from a structure optimized by DFT (PBE+U).

Atomic structure:
Cell lengths 8.450, 8.463, 8.467 Å; angles 90.00, 90.00, 90.00 degrees
Space group P222 (No. 16)
Unique sites:
Ba1 0.000 0.000 0.000 x1
Ba2 0.000 0.500 0.000 x1
Ba3 0.500 0.000 0.000 x1
Ba4 0.500 0.500 0.500 x1
Sr1 0.000 0.000 0.500 x1
Sr2 0.000 0.500 0.500 x1
Sr3 0.500 0.000 0.500 x1
Sr4 0.500 0.500 0.000 x1
Nd1 0.250 0.251 0.252 x4
Mn1 0.250 0.250 0.748 x4
O1 0.022 0.225 0.723 x4
O2 0.223 0.478 0.721 x4
O3 0.232 0.269 0.977 x4
O4 0.270 0.023 0.767 x4
O5 0.277 0.222 0.522 x4
O6 0.478 0.278 0.774 x4

Principal peaks in the range 10 to 90 degrees two-theta, by angle:
2θ 18.16, 4.884 Å, I 8, (1 1 1); 2θ 29.87, 2.991 Å, I 100, (2 2 0); 2θ 35.18, 2.551 Å, I 8, (1 3 1); 2θ 42.75, 2.115 Å, I 30, (4 0 0); 2θ 53.03, 1.727 Å, I 41, (2 4 2); 2θ 62.06, 1.496 Å, I 18, (4 4 0); 2θ 70.34, 1.338 Å, I 12, (2 6 0); 2θ 70.47, 1.336 Å, I 6, (6 2 0); 2θ 85.96, 1.131 Å, I 15, (2 6 4); 2θ 86.05, 1.130 Å, I 7, (6 4 2)